Record 1
Structure and simulated PXRD pattern of Mg14FeNiO16 (a structure optimized by DFT (GGA+U); a wavelength of 1.5418 Å).
Neutral-atom scattering factors, no anomalous dispersion.

Crystal structure
Cell: 4.2723 8.5043 8.5377 Å, 90.00 90.00 90.00°
Element x y z (fractional)
Mg 0.0000 0.0000 0.0000
Mg 0.0000 0.2495 0.2493
Mg 0.0000 0.2495 0.7507
Mg 0.0000 0.5000 0.0000
Mg 0.0000 0.7505 0.2493
Mg 0.0000 0.7505 0.7507
Mg 0.5000 0.0000 0.2509
Mg 0.5000 0.0000 0.7491
Mg 0.5000 0.2487 0.5000
Mg 0.5000 0.2502 0.0000
Mg 0.5000 0.5000 0.2506
Mg 0.5000 0.5000 0.7494
Mg 0.5000 0.7498 0.0000
Mg 0.5000 0.7513 0.5000
Fe 0.0000 0.5000 0.5000
Ni 0.0000 0.0000 0.5000
O 0.0000 0.0000 0.2497
O 0.0000 0.0000 0.7503
O 0.0000 0.2488 0.0000
O 0.0000 0.2486 0.5000
O 0.0000 0.5000 0.2437
O 0.0000 0.5000 0.7563
O 0.0000 0.7512 0.0000
O 0.0000 0.7514 0.5000
O 0.5000 0.0000 0.0000
O 0.5000 0.0000 0.5000
O 0.5000 0.2495 0.2511
O 0.5000 0.2495 0.7489
O 0.5000 0.5000 0.0000
O 0.5000 0.5000 0.5000
O 0.5000 0.7505 0.2511
O 0.5000 0.7505 0.7489

Principal peaks in the range 15 to 90 degrees two-theta, by angle:
36.5 deg, rel. 28; 42.3 deg, rel. 100; 42.5 deg, rel. 49; 61.4 deg, rel. 28; 61.6 deg, rel. 56; 77.5 deg, rel. 25



Record 2
Structure and simulated PXRD pattern of MgFe4NiO8 (a structure optimized by DFT (GGA+U); a wavelength of 1.5418 Å).
Neutral-atom scattering factors, no anomalous dispersion.

Crystal structure
Cell: 5.9963 5.9963 5.9765 Å, 119.40 119.40 60.47°
Element x y z (fractional)
Mg 0.0000 0.0000 0.0000
Fe 0.0000 0.5000 0.5000
Fe 0.3825 0.3825 0.1319
Fe 0.5000 0.0000 0.5000
Fe 0.6175 0.6175 0.8681
Ni 0.0000 0.0000 0.5000
O 0.2289 0.7498 0.7400
O 0.2466 0.2466 0.2601
O 0.2491 0.2491 0.7318
O 0.2502 0.7711 0.2600
O 0.7498 0.2289 0.7400
O 0.7509 0.7509 0.2682
O 0.7534 0.7534 0.7399
O 0.7711 0.2502 0.2600

Principal peaks in the range 15 to 90 degrees two-theta, by angle:
29.6 deg, rel. 54; 34.9 deg, rel. 76; 35.0 deg, rel. 100; 35.1 deg, rel. 35; 61.4 deg, rel. 57; 61.9 deg, rel. 37



Record 3
Structure and simulated PXRD pattern of MgFe2Ni4O8 (a structure optimized by DFT (GGA+U); a wavelength of 1.5418 Å).
Neutral-atom scattering factors, no anomalous dispersion.

Crystal structure
Cell: 6.2213 6.2213 6.2213 Å, 56.30 56.30 56.30°
Element x y z (fractional)
Mg 0.0000 0.0000 0.0000
Fe 0.1538 0.1538 0.1538
Fe 0.8462 0.8462 0.8462
Ni 0.0000 0.5000 0.5000
Ni 0.5000 0.0000 0.5000
Ni 0.5000 0.5000 0.0000
Ni 0.5000 0.5000 0.5000
O 0.2400 0.7533 0.7533
O 0.2467 0.2467 0.7600
O 0.2467 0.7600 0.2467
O 0.2707 0.2707 0.2707
O 0.7293 0.7293 0.7293
O 0.7533 0.2400 0.7533
O 0.7533 0.7533 0.2400
O 0.7600 0.2467 0.2467

Principal peaks in the range 15 to 90 degrees two-theta, by angle:
30.5 deg, rel. 36; 35.1 deg, rel. 100; 35.8 deg, rel. 54; 42.4 deg, rel. 70; 59.6 deg, rel. 37; 63.4 deg, rel. 49



Record 4
Structure and simulated PXRD pattern of MgFe2Ni4O8 (a structure optimized by DFT (GGA+U); a wavelength of 1.5418 Å).
Neutral-atom scattering factors, no anomalous dispersion.

Crystal structure
Cell: 6.2536 6.2536 6.2536 Å, 123.31 121.89 85.55°
Element x y z (fractional)
Mg 0.0000 0.0000 0.0000
Fe 0.5490 0.0490 0.5000
Fe 0.7191 0.7191 0.0000
Ni 0.1411 0.4009 0.7402
Ni 0.2045 0.4822 0.2778
Ni 0.2045 0.9267 0.7222
Ni 0.6607 0.4009 0.2598
O 0.3502 0.6301 0.7200
O 0.3808 0.1584 0.2224
O 0.4194 0.1770 0.7576
O 0.4194 0.6618 0.2424
O 0.8638 0.1110 0.2472
O 0.8638 0.6166 0.7528
O 0.9101 0.6301 0.2800
O 0.9360 0.1584 0.7776

Principal peaks in the range 15 to 90 degrees two-theta, by angle:
32.9 deg, rel. 80; 34.6 deg, rel. 100; 35.0 deg, rel. 69; 42.6 deg, rel. 29; 59.3 deg, rel. 42; 61.0 deg, rel. 35



Record 5
Structure and simulated PXRD pattern of MgFe4NiO8 (a structure optimized by DFT (GGA+U); a wavelength of 1.5418 Å).
Neutral-atom scattering factors, no anomalous dispersion.

Crystal structure
Cell: 6.0197 6.0197 6.0197 Å, 60.16 60.16 60.16°
Element x y z (fractional)
Mg 0.0000 0.0000 0.0000
Fe 0.1159 0.6256 0.6256
Fe 0.2470 0.2470 0.2470
Fe 0.6256 0.1159 0.6256
Fe 0.6256 0.6256 0.1159
Ni 0.6250 0.6250 0.6250
O 0.3773 0.3773 0.8545
O 0.3773 0.8545 0.3773
O 0.3809 0.3809 0.3809
O 0.4020 0.8683 0.8683
O 0.8545 0.3773 0.3773
O 0.8645 0.8645 0.8645
O 0.8683 0.4020 0.8683
O 0.8683 0.8683 0.4020

Principal peaks in the range 15 to 90 degrees two-theta, by angle:
18.0 deg, rel. 31; 34.9 deg, rel. 100; 42.4 deg, rel. 35; 56.0 deg, rel. 28; 61.5 deg, rel. 25; 61.6 deg, rel. 25



Record 6
Structure and simulated PXRD pattern of MgFe4Ni2O8 (a structure optimized by DFT (GGA+U); a wavelength of 1.5418 Å).
Neutral-atom scattering factors, no anomalous dispersion.

Crystal structure
Cell: 5.8124 5.8124 6.3021 Å, 118.34 118.34 60.38°
Element x y z (fractional)
Mg 0.0000 0.0000 0.0000
Fe 0.0000 0.5000 0.0000
Fe 0.1511 0.1511 0.4606
Fe 0.5000 0.0000 0.0000
Fe 0.8489 0.8489 0.5394
Ni 0.5000 0.5000 0.0000
Ni 0.5000 0.5000 0.5000
O 0.2403 0.7387 0.2350
O 0.2455 0.2455 0.2276
O 0.2613 0.7597 0.7650
O 0.2650 0.2650 0.8221
O 0.7350 0.7350 0.1779
O 0.7387 0.2403 0.2350
O 0.7545 0.7545 0.7724
O 0.7597 0.2613 0.7650

Principal peaks in the range 15 to 90 degrees two-theta, by angle:
35.0 deg, rel. 80; 35.1 deg, rel. 69; 35.6 deg, rel. 79; 35.9 deg, rel. 68; 42.3 deg, rel. 100; 64.1 deg, rel. 69



Record 7
Structure and simulated PXRD pattern of Mg6FeNiO8 (a structure optimized by DFT (GGA+U); a wavelength of 1.5418 Å).
Neutral-atom scattering factors, no anomalous dispersion.

Crystal structure
Cell: 4.2524 4.2524 8.5902 Å, 90.00 90.00 90.00°
Element x y z (fractional)
Mg 0.0000 0.0000 0.0000
Mg 0.0000 0.0000 0.5000
Mg 0.0000 0.5000 0.2477
Mg 0.0000 0.5000 0.7523
Mg 0.5000 0.0000 0.2477
Mg 0.5000 0.0000 0.7523
Fe 0.5000 0.5000 0.5000
Ni 0.5000 0.5000 0.0000
O 0.0000 0.0000 0.2516
O 0.0000 0.0000 0.7484
O 0.0000 0.5000 0.0000
O 0.0000 0.5000 0.5000
O 0.5000 0.0000 0.0000
O 0.5000 0.0000 0.5000
O 0.5000 0.5000 0.2438
O 0.5000 0.5000 0.7562

Principal peaks in the range 15 to 90 degrees two-theta, by angle:
36.5 deg, rel. 41; 42.1 deg, rel. 52; 42.5 deg, rel. 100; 61.4 deg, rel. 58; 61.7 deg, rel. 28; 77.5 deg, rel. 26



Record 8
Structure and simulated PXRD pattern of MgFe4Ni2O8 (a structure optimized by DFT (GGA+U); a wavelength of 1.5418 Å).
Neutral-atom scattering factors, no anomalous dispersion.

Crystal structure
Cell: 6.2698 6.2698 6.2362 Å, 119.77 119.77 55.76°
Element x y z (fractional)
Mg 0.0000 0.0000 0.0000
Fe 0.0580 0.4935 0.7767
Fe 0.2878 0.2878 0.2886
Fe 0.4935 0.0580 0.7767
Fe 0.9226 0.9226 0.4227
Ni 0.5952 0.5952 0.8552
Ni 0.5958 0.5958 0.3375
O 0.3339 0.8055 0.5701
O 0.3679 0.3679 0.0834
O 0.3676 0.3676 0.6536
O 0.3895 0.8948 0.1426
O 0.8055 0.3339 0.5701
O 0.8321 0.8321 0.0368
O 0.8322 0.8322 0.6282
O 0.8948 0.3895 0.1426

Principal peaks in the range 15 to 90 degrees two-theta, by angle:
28.6 deg, rel. 26; 33.0 deg, rel. 77; 34.0 deg, rel. 100; 34.8 deg, rel. 30; 35.2 deg, rel. 60; 46.9 deg, rel. 27